KCo2P2O8: theoretical powder diffractogram (Cu Kα), based on a crystal structure in the Materials Project, relaxed with PBE+U.
Intensities are scaled so that the largest is 100.

Atomic structure:
abc: 9.627 9.627 8.934
angles: 96.86 96.86 89.26
Atoms (fractional coordinates):
K 0.066 0.569 0.780
K 0.431 0.934 0.720
K 0.569 0.066 0.280
K 0.934 0.431 0.220
Co 0.046 0.800 0.451
Co 0.200 0.954 0.049
Co 0.308 0.433 0.114
Co 0.433 0.308 0.614
Co 0.567 0.692 0.386
Co 0.692 0.567 0.886
Co 0.800 0.046 0.951
Co 0.954 0.200 0.549
P 0.080 0.215 0.912
P 0.215 0.080 0.412
P 0.285 0.564 0.473
P 0.436 0.715 0.027
P 0.564 0.285 0.973
P 0.715 0.436 0.527
P 0.785 0.920 0.588
P 0.920 0.785 0.088
O 0.038 0.252 0.749
O 0.050 0.827 0.012
O 0.093 0.186 0.410
O 0.138 0.351 0.007
O 0.146 0.637 0.507
O 0.173 0.950 0.488
O 0.186 0.093 0.910
O 0.252 0.038 0.249
O 0.265 0.476 0.316
O 0.318 0.468 0.601
O 0.325 0.598 0.016
O 0.351 0.138 0.507
O 0.363 0.854 0.993
O 0.402 0.675 0.484
O 0.468 0.318 0.101
O 0.476 0.265 0.816
O 0.524 0.735 0.184
O 0.532 0.682 0.899
O 0.598 0.325 0.516
O 0.637 0.146 0.007
O 0.649 0.862 0.493
O 0.675 0.402 0.984
O 0.682 0.532 0.399
O 0.735 0.524 0.684
O 0.748 0.962 0.751
O 0.814 0.907 0.090
O 0.827 0.050 0.512
O 0.854 0.363 0.493
O 0.862 0.649 0.993
O 0.907 0.814 0.590
O 0.950 0.173 0.988
O 0.962 0.748 0.251

Principal peaks in the range 15 to 90 degrees two-theta, low angle first:
- 20.2°, d 4.404, rel. 61
- 21.6°, d 4.110, rel. 25
- 22.6°, d 3.930, rel. 75
- 24.6°, d 3.624, rel. 34
- 25.8°, d 3.449, rel. 78
- 25.9°, d 3.435, rel. 50
- 26.4°, d 3.378, rel. 100
- 28.6°, d 3.117, rel. 47
- 29.6°, d 3.023, rel. 37
- 33.4°, d 2.682, rel. 34